# 1
In2Hg6P3Cl9: calculated XRD peak list (copper Kα), based on the GGA-PBE geometry in Alexandria.
Peak positions follow from Bragg's law for the DFT cell and can differ from measured ones.

Structural model:
a b c (Å): 10.633 10.892 11.084
angles (deg): 90.00 116.87 90.00
Space group P2_1 (No. 4)
Asymmetric unit:
In1 0.140 0.000 0.409 [2 per cell]
In2 0.195 0.372 0.829 [2 per cell]
Hg1 0.015 0.935 0.834 [2 per cell]
Hg2 0.227 0.677 0.117 [2 per cell]
Hg3 0.325 0.604 0.499 [2 per cell]
Hg4 0.349 0.767 0.840 [2 per cell]
Hg5 0.367 0.341 0.276 [2 per cell]
Hg6 0.392 0.004 0.134 [2 per cell]
P1 0.223 0.519 0.271 [2 per cell]
P2 0.244 0.845 0.979 [2 per cell]
P3 0.477 0.678 0.726 [2 per cell]
Cl1 0.003 0.994 0.135 [2 per cell]
Cl2 0.029 0.780 0.372 [2 per cell]
Cl3 0.132 0.551 0.651 [2 per cell]
Cl4 0.170 0.213 0.979 [2 per cell]
Cl5 0.187 0.219 0.393 [2 per cell]
Cl6 0.206 0.985 0.653 [2 per cell]
Cl7 0.359 0.912 0.410 [2 per cell]
Cl8 0.377 0.287 0.775 [2 per cell]
Cl9 0.384 0.496 0.017 [2 per cell]

The 12 most intense peaks (2θ from 5° to 70°), in order of rising 2θ:
7.153 Å, I 61, (1 1 0); 4.929 Å, I 77, (1 1 -2); 4.774 Å, I 66, (2 1 -1); 3.660 Å, I 54, (0 2 2); 3.524 Å, I 50, (2 2 -2); 3.388 Å, I 98, (1 3 0); 3.300 Å, I 67, (0 0 3); 3.084 Å, I 73, (1 2 2); 3.059 Å, I 49, (1 3 1); 3.046 Å, I 100, (2 2 1); 2.948 Å, I 46, (3 2 -1); 2.517 Å, I 51, (4 1 -1)

# 2
Mn2CoNiSb2: calculated XRD peak list (copper Kα), based on the GGA-PBE geometry in Alexandria.
Peak positions follow from Bragg's law for the DFT cell and can differ from measured ones.

Structural model:
a b c (Å): 4.2439 4.2439 20.8559
angles (deg): 90.00 90.00 120.00
Space group R3m (No. 160, hexagonal axes)
Asymmetric unit:
Mn1 0.0000 0.0000 0.0000 [3 per cell]
Mn2 0.0000 0.0000 0.4974 [3 per cell]
Co1 0.0000 0.0000 0.7489 [3 per cell]
Ni1 0.0000 0.0000 0.2477 [3 per cell]
Sb1 0.0000 0.0000 0.1232 [3 per cell]
Sb2 0.0000 0.0000 0.6239 [3 per cell]

The 8 most intense peaks (2θ from 5° to 70°), in order of rising 2θ:
3.469 Å, I 67, (0 1 2); 2.124 Å, I 100, (1 1 0); 1.812 Å, I 23, (1 0 10); 1.810 Å, I 8, (2 0 2); 1.502 Å, I 16, (2 0 8); 1.381 Å, I 3, (0 1 14); 1.379 Å, I 3, (0 2 10); 1.377 Å, I 6, (1 2 2)

# 3
Ti5InRh6: calculated XRD peak list (copper Kα), based on the GGA-PBE geometry in Alexandria.
Peak positions follow from Bragg's law for the DFT cell and can differ from measured ones.

Structural model:
a b c (Å): 4.548 5.967 6.898
angles (deg): 90.00 101.14 90.00
Space group P2/m (No. 10)
Asymmetric unit:
Ti1 0.000 0.000 0.000 [1 per cell]
Ti2 0.318 0.000 0.670 [2 per cell]
Ti3 0.321 0.500 0.672 [2 per cell]
In1 0.000 0.500 0.000 [1 per cell]
Rh1 0.192 0.248 0.350 [4 per cell]
Rh2 0.500 0.240 0.000 [2 per cell]

The 12 most intense peaks (2θ from 5° to 70°), in order of rising 2θ:
3.433 Å, I 6, (1 0 1); 3.384 Å, I 3, (0 0 2); 2.986 Å, I 9, (1 0 -2); 2.478 Å, I 3, (1 0 2); 2.253 Å, I 100, (2 0 -1); 2.112 Å, I 42, (1 2 -2); 2.007 Å, I 1, (2 0 1); 1.799 Å, I 4, (2 2 -1); 1.717 Å, I 10, (2 0 2); 1.494 Å, I 7, (2 0 -4); 1.492 Å, I 7, (0 4 0); 1.488 Å, I 2, (3 0 0)

# 4
BaSnTe2: calculated XRD peak list (copper Kα), based on the GGA-PBE geometry in Alexandria.
Peak positions follow from Bragg's law for the DFT cell and can differ from measured ones.

Structural model:
a b c (Å): 8.282 8.282 8.372
angles (deg): 90.00 90.00 90.00
Space group I4/mcm (No. 140)
Asymmetric unit:
Ba1 0.000 0.000 0.250 [4 per cell]
Sn1 0.000 0.500 0.250 [4 per cell]
Te1 0.203 0.297 0.000 [8 per cell]

The 12 most intense peaks (2θ from 5° to 70°), in order of rising 2θ:
3.387 Å, I 24, (2 1 1); 2.944 Å, I 100, (2 0 2); 2.928 Å, I 42, (2 2 0); 2.229 Å, I 8, (2 1 3); 2.093 Å, I 11, (0 0 4); 2.070 Å, I 11, (4 0 0); 1.953 Å, I 15, (4 1 1); 1.703 Å, I 17, (2 2 4); 1.694 Å, I 21, (4 2 2); 1.630 Å, I 8, (4 1 3); 1.472 Å, I 7, (4 0 4); 1.381 Å, I 5, (6 0 0)

# 5
ReTc3: calculated XRD peak list (copper Kα), based on the GGA-PBE geometry in Alexandria.
Peak positions follow from Bragg's law for the DFT cell and can differ from measured ones.

Structural model:
a b c (Å): 4.784 8.857 5.532
angles (deg): 90.00 90.00 90.00
Space group Pnma (No. 62)
Asymmetric unit:
Re1 0.083 0.250 0.125 [4 per cell]
Tc1 0.083 0.250 0.625 [4 per cell]
Tc2 0.249 0.501 0.375 [8 per cell]

The 12 most intense peaks (2θ from 5° to 70°), in order of rising 2θ:
4.692 Å, I 7, (0 1 1); 4.429 Å, I 6, (0 2 0); 3.619 Å, I 3, (1 0 1); 2.802 Å, I 3, (1 2 1); 2.605 Å, I 2, (0 3 1); 2.394 Å, I 2, (1 0 2); 2.311 Å, I 68, (1 1 2); 2.214 Å, I 39, (0 4 0); 2.106 Å, I 100, (2 2 0); 1.859 Å, I 35, (1 3 2); 1.424 Å, I 15, (1 5 2); 1.382 Å, I 25, (3 0 2)

# 6
Sc4Zn3Pt2: calculated XRD peak list (copper Kα), based on the GGA-PBE geometry in Alexandria.
Peak positions follow from Bragg's law for the DFT cell and can differ from measured ones.

Structural model:
a b c (Å): 4.5482 4.5482 9.2405
angles (deg): 90.00 90.00 120.00
Space group P-3m1 (No. 164)
Asymmetric unit:
Sc1 0.0000 0.0000 0.1711 [2 per cell]
Sc2 0.3333 0.6667 0.3858 [2 per cell]
Zn1 0.0000 0.0000 0.5000 [1 per cell]
Zn2 0.3333 0.6667 0.9864 [2 per cell]
Pt1 0.3333 0.6667 0.6846 [2 per cell]

The 12 most intense peaks (2θ from 5° to 70°), in order of rising 2θ:
9.240 Å, I 18, (0 0 1); 3.939 Å, I 15, (1 0 0); 3.623 Å, I 79, (1 0 1); 3.080 Å, I 19, (0 0 3); 2.997 Å, I 19, (0 1 2); 2.426 Å, I 84, (1 0 3); 2.274 Å, I 100, (1 1 0); 1.993 Å, I 35, (1 0 4); 1.926 Å, I 15, (0 2 1); 1.830 Å, I 26, (1 1 3); 1.659 Å, I 25, (0 2 3); 1.499 Å, I 14, (0 2 4)

# 7
FeCu2Se: calculated XRD peak list (copper Kα), based on the GGA-PBE geometry in Alexandria.
Peak positions follow from Bragg's law for the DFT cell and can differ from measured ones.

Structural model:
a b c (Å): 8.428 3.259 4.264
angles (deg): 90.00 110.16 90.00
Space group Cm (No. 8)
Asymmetric unit:
Fe1 0.000 0.000 0.000 [2 per cell]
Cu1 0.234 0.000 0.637 [2 per cell]
Cu2 0.488 0.000 0.486 [2 per cell]
Se1 0.228 0.500 0.095 [2 per cell]

The 12 most intense peaks (2θ from 5° to 70°), in order of rising 2θ:
3.956 Å, I 3, (2 0 0); 2.576 Å, I 23, (1 1 -1); 2.426 Å, I 2, (2 0 1); 2.269 Å, I 100, (1 1 1); 2.101 Å, I 27, (2 0 -2); 2.063 Å, I 85, (3 1 -1); 2.002 Å, I 21, (0 0 2); 1.978 Å, I 39, (4 0 0); 1.738 Å, I 9, (4 0 -2); 1.654 Å, I 11, (3 1 1); 1.630 Å, I 21, (0 2 0); 1.580 Å, I 7, (2 0 2)

# 8
Y2BeCo2: calculated XRD peak list (copper Kα), based on the GGA-PBE geometry in Alexandria.
Peak positions follow from Bragg's law for the DFT cell and can differ from measured ones.

Structural model:
a b c (Å): 3.706 5.526 8.373
angles (deg): 90.00 90.00 90.00
Space group Immm (No. 71)
Asymmetric unit:
Y1 0.000 0.000 0.195 [4 per cell]
Be1 0.000 0.500 0.000 [2 per cell]
Co1 0.000 0.233 0.500 [4 per cell]

The 12 most intense peaks (2θ from 5° to 70°), in order of rising 2θ:
4.612 Å, I 14, (0 1 1); 3.078 Å, I 100, (1 1 0); 2.491 Å, I 48, (0 1 3); 2.480 Å, I 54, (1 1 2); 2.306 Å, I 81, (0 2 2); 2.230 Å, I 85, (1 0 3); 2.142 Å, I 71, (1 2 1); 2.093 Å, I 12, (0 0 4); 1.853 Å, I 30, (2 0 0); 1.535 Å, I 22, (1 3 2); 1.487 Å, I 18, (2 1 3); 1.444 Å, I 34, (2 2 2)

# 9
Er8Tm5Zr: calculated XRD peak list (copper Kα), based on the GGA-PBE geometry in Alexandria.
Peak positions follow from Bragg's law for the DFT cell and can differ from measured ones.

Structural model:
a b c (Å): 13.275 9.804 9.394
angles (deg): 90.00 134.91 90.00
Space group C2 (No. 5)
Asymmetric unit:
Er1 0.066 0.000 0.237 [4 per cell]
Er2 0.093 0.335 0.407 [4 per cell]
Er3 0.171 0.668 0.104 [4 per cell]
Er4 0.185 0.833 0.777 [4 per cell]
Tm1 0.000 0.084 0.500 [2 per cell]
Tm2 0.108 0.666 0.401 [4 per cell]
Tm3 0.207 0.502 0.816 [4 per cell]
Zr1 0.000 0.334 0.000 [2 per cell]

The 12 most intense peaks (2θ from 5° to 70°), in order of rising 2θ:
3.087 Å, I 58, (1 3 -1); 2.984 Å, I 65, (3 1 -3); 2.972 Å, I 80, (4 0 -1); 2.750 Å, I 22, (4 2 -2); 2.580 Å, I 100, (3 3 -2); 2.541 Å, I 43, (4 2 -1); 2.519 Å, I 46, (1 1 -3); 1.931 Å, I 13, (2 2 -4); 1.630 Å, I 20, (5 3 0); 1.539 Å, I 12, (7 3 -2); 1.486 Å, I 19, (8 0 -2); 1.432 Å, I 21, (4 6 -1)

# 10
YbIn2: calculated XRD peak list (copper Kα), based on the GGA-PBE geometry in Alexandria.
Peak positions follow from Bragg's law for the DFT cell and can differ from measured ones.

Structural model:
a b c (Å): 9.998 7.535 4.954
angles (deg): 90.00 119.50 90.00
Space group C2/m (No. 12)
Asymmetric unit:
Yb1 0.220 0.000 0.471 [4 per cell]
In1 0.087 0.292 0.837 [8 per cell]

The 12 most intense peaks (2θ from 5° to 70°), in order of rising 2θ:
2.999 Å, I 21, (3 1 -1); 2.848 Å, I 43, (2 2 0); 2.835 Å, I 100, (2 2 -1); 2.507 Å, I 34, (2 0 1); 2.499 Å, I 34, (4 0 -1); 2.477 Å, I 38, (2 0 -2); 2.413 Å, I 13, (1 3 0); 1.884 Å, I 20, (0 4 0); 1.871 Å, I 13, (0 2 2); 1.867 Å, I 12, (4 2 -2); 1.499 Å, I 14, (2 4 -2); 1.490 Å, I 14, (4 2 -3)

# 11
PaBr4F: calculated XRD peak list (copper Kα), based on the GGA-PBE geometry in Alexandria.
Peak positions follow from Bragg's law for the DFT cell and can differ from measured ones.

Structural model:
a b c (Å): 10.404 10.404 4.554
angles (deg): 90.00 90.00 90.00
Space group I4/m (No. 87)
Asymmetric unit:
Pa1 0.000 0.000 0.000 [2 per cell]
Br1 0.065 0.248 0.000 [8 per cell]
F1 0.000 0.000 0.500 [2 per cell]

The 12 most intense peaks (2θ from 5° to 70°), in order of rising 2θ:
7.357 Å, I 86, (1 1 0); 5.202 Å, I 24, (2 0 0); 4.172 Å, I 100, (1 0 1); 3.290 Å, I 46, (1 3 0); 2.759 Å, I 18, (3 0 1); 2.601 Å, I 19, (4 0 0); 2.326 Å, I 23, (2 4 0); 2.207 Å, I 45, (1 4 1); 1.893 Å, I 19, (4 3 1); 1.872 Å, I 19, (1 3 2); 1.778 Å, I 14, (5 2 1); 1.627 Å, I 15, (2 4 2)

# 12
CsIn6Bi2: calculated XRD peak list (copper Kα), based on the GGA-PBE geometry in Alexandria.
Peak positions follow from Bragg's law for the DFT cell and can differ from measured ones.

Structural model:
a b c (Å): 5.404 5.404 10.454
angles (deg): 90.00 90.00 90.00
Space group P4/mmm (No. 123)
Asymmetric unit:
Cs1 0.000 0.000 0.000 [1 per cell]
In1 0.000 0.000 0.500 [1 per cell]
In2 0.000 0.500 0.325 [4 per cell]
In3 0.500 0.500 0.500 [1 per cell]
Bi1 0.500 0.500 0.152 [2 per cell]

The 12 most intense peaks (2θ from 5° to 70°), in order of rising 2θ:
5.404 Å, I 26, (1 0 0); 3.757 Å, I 21, (1 0 2); 3.589 Å, I 30, (1 1 1); 3.085 Å, I 44, (1 1 2); 2.929 Å, I 42, (1 0 3); 2.702 Å, I 95, (2 0 0); 2.575 Å, I 100, (1 1 3); 2.353 Å, I 19, (1 0 4); 1.986 Å, I 28, (2 1 3); 1.911 Å, I 34, (2 2 0); 1.534 Å, I 40, (3 1 3); 1.464 Å, I 25, (2 0 6)

# 13
CdIn2Ag: calculated XRD peak list (copper Kα), based on the GGA-PBE geometry in Alexandria.
Peak positions follow from Bragg's law for the DFT cell and can differ from measured ones.

Structural model:
a b c (Å): 3.249 3.249 8.765
angles (deg): 90.00 90.00 90.00
Space group P4mm (No. 99)
Asymmetric unit:
Cd1 0.000 0.000 0.000 [1 per cell]
In1 0.000 0.000 0.560 [1 per cell]
In2 0.500 0.500 0.268 [1 per cell]
Ag1 0.500 0.500 0.787 [1 per cell]

The 12 most intense peaks (2θ from 5° to 70°), in order of rising 2θ:
8.765 Å, I 4, (0 0 1); 2.922 Å, I 3, (0 0 3); 2.610 Å, I 100, (1 0 2); 2.298 Å, I 37, (1 1 0); 2.191 Å, I 12, (0 0 4); 2.173 Å, I 5, (1 0 3); 1.806 Å, I 3, (1 1 3); 1.625 Å, I 12, (2 0 0); 1.586 Å, I 16, (1 1 4); 1.543 Å, I 4, (1 0 5); 1.394 Å, I 3, (1 1 5); 1.379 Å, I 26, (2 1 2)